Starting from a cell relaxed with PBE, the powder X-ray diffraction pattern of Fe6BP was calculated for Cu Kα.
Lines closer than 0.1° are merged.

Main lines, by angle (2θ from 15° to 90°):
2θ (°), d (Å), Rel. int.
42.0, 2.149, 472
42.6, 2.123, 668
42.7, 2.116, 657
43.3, 2.092, 690
44.4, 2.041, 562
44.5, 2.037, 663
46.4, 1.955, 450
46.7, 1.945, 1000
47.1, 1.929, 431
48.6, 1.875, 565

Structure:
Cell: 12.287 4.318 8.605 Å, 90.00 133.22 90.00°
Space group C2 (No. 5)
Inequivalent atoms, fractional coordinates:
Fe: 0.032 0.000 0.389 [4 per cell]
Fe: 0.073 0.234 0.960 [4 per cell]
Fe: 0.101 0.742 0.187 [4 per cell]
Fe: 0.134 0.475 0.660 [4 per cell]
Fe: 0.164 0.738 0.944 [4 per cell]
Fe: 0.217 0.240 0.398 [4 per cell]
B: 0.043 0.500 0.338 [4 per cell]
P: 0.208 0.981 0.751 [4 per cell]